Na4ZnTeO6: theoretical powder X-ray diffraction pattern (Cu Kα, 1.54184 Å), based on a crystal structure in OQMD, relaxed with GGA-PBE.

Cell and atoms:
a b c (Å): 5.4386 5.4386 5.5865
angles (deg): 99.64 99.64 119.68
Atoms (fractional coordinates):
Na 0.0000 0.0000 0.0000
Na 0.1601 0.8399 0.5000
Na 0.4893 0.5107 0.5000
Na 0.8453 0.1547 0.5000
Zn 0.3310 0.6690 0.0000
Te 0.6666 0.3334 0.0000
O 0.0441 0.4241 0.2150
O 0.3066 0.2823 0.7870
O 0.4525 0.1004 0.2109
O 0.5759 0.9559 0.7850
O 0.7177 0.6934 0.2130
O 0.8996 0.5475 0.7891

Peak list (6 most intense, 2θ from 5° to 70°, low angle first)
| two_theta | I (rel.) |
| --- | --- |
| 16.8 | 94 |
| 19.6 | 42 |
| 21.9 | 34 |
| 34.8 | 63 |
| 40.0 | 55 |
| 40.3 | 100 |